The following is a calculated powder diffraction line list of HoFe3NiB. It was derived from a cell relaxed with PBE, using CuKα.
Peak positions follow from Bragg's law for the DFT cell and can differ from measured ones.

Largest 10 diffraction maxima, low angle first, 2θ = 10–90°:
- 2θ = 20.5°, I = 18, (1 0 0)
- 2θ = 32.8°, I = 91, (1 0 2)
- 2θ = 35.9°, I = 34, (1 1 0)
- 2θ = 41.7°, I = 66, (2 0 0)
- 2θ = 44.4°, I = 100, (1 1 2)
- 2θ = 62.6°, I = 28, (2 1 2)
- 2θ = 64.7°, I = 15, (1 1 4)
- 2θ = 68.7°, I = 18, (2 0 4)
- 2θ = 70.5°, I = 24, (3 0 2)
- 2θ = 76.1°, I = 19, (2 2 0)

Atomic structure:
```
data_HoFe3NiB
_cell_length_a 5.0011
_cell_length_b 5.0011
_cell_length_c 7.0491
_cell_angle_alpha 90.00
_cell_angle_beta 90.00
_cell_angle_gamma 120.00
_space_group_name_H-M_alt 'P 6/m m m'
_space_group_IT_number 191
_space_group_name_Hall '-P 6 2'
loop_
_atom_site_label
_atom_site_type_symbol
_atom_site_fract_x
_atom_site_fract_y
_atom_site_fract_z
_atom_site_occupancy
Ho1 Ho 0.0000 0.0000 0.0000 1
Ho2 Ho 0.0000 0.0000 0.5000 1
Fe1 Fe 0.0000 0.5000 0.2142 1
Ni1 Ni 0.3333 0.6667 0.5000 1
B1 B 0.3333 0.6667 0.0000 1
```

=====

The following is a calculated powder diffraction line list of Dy2Y3Er3. It was derived from a cell relaxed with PBE, using CuKα.
Peak positions follow from Bragg's law for the DFT cell and can differ from measured ones.

Largest 10 diffraction maxima, low angle first, 2θ = 10–90°:
- 2θ = 28.6°, I = 26, (2 0 0)
- 2θ = 31.8°, I = 24, (0 0 2)
- 2θ = 32.8°, I = 100, (2 0 1)
- 2θ = 43.3°, I = 17, (2 0 2)
- 2θ = 50.6°, I = 19, (2 2 0)
- 2θ = 57.3°, I = 20, (2 0 3)
- 2θ = 61.0°, I = 22, (2 2 2)
- 2θ = 61.7°, I = 16, (4 0 1)
- 2θ = 83.7°, I = 14, (4 2 1)
- 2θ = 88.1°, I = 8, (2 2 4)

Atomic structure:
```
data_Dy2Y3Er3
_cell_length_a 7.2113
_cell_length_b 7.2113
_cell_length_c 5.6259
_cell_angle_alpha 90.00
_cell_angle_beta 90.00
_cell_angle_gamma 120.00
_space_group_name_H-M_alt 'P -6 m 2'
_space_group_IT_number 187
_space_group_name_Hall 'P -6 2'
loop_
_atom_site_label
_atom_site_type_symbol
_atom_site_fract_x
_atom_site_fract_y
_atom_site_fract_z
_atom_site_occupancy
Dy1 Dy 0.0000 0.0000 0.0000 1
Dy2 Dy 0.3333 0.6667 0.5000 1
Y1 Y 0.5004 0.0007 0.0000 1
Er1 Er 0.3339 0.1670 0.5000 1
```

=====

The following is a calculated powder diffraction line list of PrSmB2Pt2N2. It was derived from a cell relaxed with PBE, using CuKα.
Peak positions follow from Bragg's law for the DFT cell and can differ from measured ones.

Largest 10 diffraction maxima, low angle first, 2θ = 10–90°:
- 2θ = 11.4°, I = 60, (0 0 1)
- 2θ = 26.1°, I = 33, (1 0 1)
- 2θ = 33.0°, I = 25, (1 0 2)
- 2θ = 34.8°, I = 42, (0 0 3)
- 2θ = 35.4°, I = 100, (1 1 1)
- 2θ = 40.9°, I = 65, (1 1 2)
- 2θ = 47.9°, I = 37, (2 0 0)
- 2θ = 58.8°, I = 26, (1 1 4)
- 2θ = 60.5°, I = 34, (2 0 3)
- 2θ = 80.9°, I = 19, (3 1 1)

Atomic structure:
```
data_PrSmB2Pt2N2
_cell_length_a 3.801
_cell_length_b 3.801
_cell_length_c 7.740
_cell_angle_alpha 90.00
_cell_angle_beta 90.00
_cell_angle_gamma 90.00
_space_group_name_H-M_alt 'P 4 m m'
_space_group_IT_number 99
_space_group_name_Hall 'P 4 -2'
loop_
_atom_site_label
_atom_site_type_symbol
_atom_site_fract_x
_atom_site_fract_y
_atom_site_fract_z
_atom_site_occupancy
Pr1 Pr 0.000 0.000 0.000 1
Sm1 Sm 0.500 0.500 0.672 1
B1 B 0.000 0.000 0.501 1
B2 B 0.500 0.500 0.169 1
Pt1 Pt 0.000 0.500 0.338 1
N1 N 0.000 0.000 0.687 1
N2 N 0.500 0.500 0.983 1
```

=====

The following is a calculated powder diffraction line list of CsAlAgF6. It was derived from a cell relaxed with PBE, using CuKα.
Peak positions follow from Bragg's law for the DFT cell and can differ from measured ones.

Largest 10 diffraction maxima, low angle first, 2θ = 10–90°:
- 2θ = 25.0°, I = 67, (0 2 0)
- 2θ = 27.8°, I = 16, (2 1 0)
- 2θ = 29.2°, I = 63, (2 1 1)
- 2θ = 29.4°, I = 100, (0 1 3)
- 2θ = 30.8°, I = 18, (0 2 2)
- 2θ = 39.0°, I = 19, (1 2 3)
- 2θ = 46.9°, I = 19, (2 3 1)
- 2θ = 47.0°, I = 27, (0 3 3)
- 2θ = 51.3°, I = 28, (2 2 4)
- 2θ = 51.5°, I = 15, (0 4 0)

Atomic structure:
```
data_CsAlAgF6
_cell_length_a 7.192
_cell_length_b 7.100
_cell_length_c 10.053
_cell_angle_alpha 90.00
_cell_angle_beta 90.00
_cell_angle_gamma 90.00
_space_group_name_H-M_alt 'P n m a'
_space_group_IT_number 62
_space_group_name_Hall '-P 2ac 2n'
loop_
_atom_site_label
_atom_site_type_symbol
_atom_site_fract_x
_atom_site_fract_y
_atom_site_fract_z
_atom_site_occupancy
Cs1 Cs 0.033 0.250 0.126 1
Al1 Al 0.000 0.000 0.500 1
Ag1 Ag 0.196 0.250 0.754 1
F1 F 0.053 0.250 0.509 1
F2 F 0.058 0.750 0.156 1
F3 F 0.117 0.532 0.658 1
F4 F 0.219 0.532 0.417 1
```

=====

The following is a calculated powder diffraction line list of RbNaAgP. It was derived from a cell relaxed with PBE, using CuKα.
Peak positions follow from Bragg's law for the DFT cell and can differ from measured ones.

Largest 10 diffraction maxima, low angle first, 2θ = 10–90°:
- 2θ = 14.8°, I = 100, (0 1 1)
- 2θ = 18.7°, I = 39, (0 0 2)
- 2θ = 27.6°, I = 36, (1 2 0)
- 2θ = 30.5°, I = 78, (0 1 3)
- 2θ = 33.4°, I = 83, (2 1 1)
- 2θ = 34.0°, I = 47, (1 1 3)
- 2θ = 35.3°, I = 39, (2 0 2)
- 2θ = 36.4°, I = 41, (0 3 1)
- 2θ = 38.1°, I = 36, (2 2 0)
- 2θ = 55.4°, I = 36, (2 3 3)

Atomic structure:
```
data_RbNaAgP
_cell_length_a 6.007
_cell_length_b 7.670
_cell_length_c 9.514
_cell_angle_alpha 90.00
_cell_angle_beta 90.00
_cell_angle_gamma 90.00
_space_group_name_H-M_alt 'A m a 2'
_space_group_IT_number 40
_space_group_name_Hall 'A 2 -2a'
loop_
_atom_site_label
_atom_site_type_symbol
_atom_site_fract_x
_atom_site_fract_y
_atom_site_fract_z
_atom_site_occupancy
Rb1 Rb 0.250 0.142 0.000 1
Na1 Na 0.250 0.141 0.351 1
Ag1 Ag 0.000 0.000 0.673 1
P1 P 0.250 0.254 0.659 1
```

=====

The following is a calculated powder diffraction line list of Ho2FePt. It was derived from a cell relaxed with PBE, using CuKα.
Peak positions follow from Bragg's law for the DFT cell and can differ from measured ones.

Largest 10 diffraction maxima, low angle first, 2θ = 10–90°:
- 2θ = 29.3°, I = 55, (1 1 1)
- 2θ = 32.5°, I = 93, (1 0 2)
- 2θ = 34.2°, I = 72, (0 2 1)
- 2θ = 36.3°, I = 76, (1 1 2)
- 2θ = 40.3°, I = 45, (0 1 3)
- 2θ = 40.6°, I = 100, (1 2 1)
- 2θ = 43.3°, I = 45, (2 0 0)
- 2θ = 52.6°, I = 20, (0 1 4)
- 2θ = 56.3°, I = 35, (2 2 1)
- 2θ = 60.7°, I = 27, (2 1 3)

Atomic structure:
```
data_Ho2FePt
_cell_length_a 4.177
_cell_length_b 5.622
_cell_length_c 7.317
_cell_angle_alpha 90.00
_cell_angle_beta 90.00
_cell_angle_gamma 90.00
_space_group_name_H-M_alt 'P m c 21'
_space_group_IT_number 26
_space_group_name_Hall 'P 2c -2'
loop_
_atom_site_label
_atom_site_type_symbol
_atom_site_fract_x
_atom_site_fract_y
_atom_site_fract_z
_atom_site_occupancy
Ho1 Ho 0.000 0.123 0.000 1
Ho2 Ho 0.500 0.373 0.350 1
Fe1 Fe 0.000 0.381 0.638 1
Pt1 Pt 0.500 0.129 0.713 1
```

=====

The following is a calculated powder diffraction line list of Pr4Si3S12. It was derived from a cell relaxed with PBE, using CuKα.
Peak positions follow from Bragg's law for the DFT cell and can differ from measured ones.

Largest 10 diffraction maxima, low angle first, 2θ = 10–90°:
- 2θ = 17.9°, I = 71, (2 1 1)
- 2θ = 24.4°, I = 100, (4 1 0)
- 2θ = 26.4°, I = 44, (1 2 2)
- 2θ = 32.3°, I = 53, (2 3 2)
- 2θ = 34.9°, I = 32, (1 1 3)
- 2θ = 36.2°, I = 29, (4 2 2)
- 2θ = 37.1°, I = 39, (1 6 1)
- 2θ = 37.3°, I = 43, (4 4 0)
- 2θ = 42.0°, I = 25, (6 1 2)
- 2θ = 48.2°, I = 25, (5 2 3)

Atomic structure:
```
data_Pr4Si3S12
_cell_length_a 19.2780
_cell_length_b 19.2780
_cell_length_c 8.0086
_cell_angle_alpha 90.00
_cell_angle_beta 90.00
_cell_angle_gamma 120.00
_space_group_name_H-M_alt 'R 3 c'
_space_group_IT_number 161
_space_group_name_Hall 'R 3 -2"c'
loop_
_atom_site_label
_atom_site_type_symbol
_atom_site_fract_x
_atom_site_fract_y
_atom_site_fract_z
_atom_site_occupancy
Pr1 Pr 0.0000 0.0000 0.0000 1
Pr2 Pr 0.0033 0.2321 0.2075 1
Si1 Si 0.1474 0.4674 0.3224 1
S1 S 0.0656 0.3984 0.5156 1
S2 S 0.0839 0.2015 0.5051 1
S3 S 0.1255 0.0604 0.7500 1
S4 S 0.1539 0.3809 0.1683 1
```

=====

The following is a calculated powder diffraction line list of PrGeAs3Ir6. It was derived from a cell relaxed with PBE, using CuKα.
Peak positions follow from Bragg's law for the DFT cell and can differ from measured ones.

Largest 10 diffraction maxima, low angle first, 2θ = 10–90°:
- 2θ = 26.5°, I = 15, (1 0 1)
- 2θ = 36.5°, I = 100, (2 0 1)
- 2θ = 37.9°, I = 23, (2 1 0)
- 2θ = 43.2°, I = 19, (3 0 0)
- 2θ = 44.5°, I = 41, (2 1 1)
- 2θ = 45.7°, I = 24, (0 0 2)
- 2θ = 50.4°, I = 21, (2 2 0)
- 2θ = 64.7°, I = 16, (3 0 2)
- 2θ = 70.3°, I = 16, (2 2 2)
- 2θ = 80.2°, I = 14, (5 0 1)

Atomic structure:
```
data_PrGeAs3Ir6
_cell_length_a 7.2467
_cell_length_b 7.2467
_cell_length_c 3.9744
_cell_angle_alpha 90.00
_cell_angle_beta 90.00
_cell_angle_gamma 120.00
_space_group_name_H-M_alt 'P -6 m 2'
_space_group_IT_number 187
_space_group_name_Hall 'P -6 2'
loop_
_atom_site_label
_atom_site_type_symbol
_atom_site_fract_x
_atom_site_fract_y
_atom_site_fract_z
_atom_site_occupancy
Pr1 Pr 0.0000 0.0000 0.0000 1
Ge1 Ge 0.3333 0.6667 0.0000 1
As1 As 0.3838 0.1919 0.5000 1
Ir1 Ir 0.1992 0.3984 0.5000 1
Ir2 Ir 0.5336 0.0671 0.0000 1
```

=====

The following is a calculated powder diffraction line list of K2HfSeS2. It was derived from a cell relaxed with PBE, using CuKα.
Peak positions follow from Bragg's law for the DFT cell and can differ from measured ones.

Largest 10 diffraction maxima, low angle first, 2θ = 10–90°:
- 2θ = 12.5°, I = 100, (1 1 0)
- 2θ = 14.6°, I = 94, (2 0 0)
- 2θ = 17.6°, I = 42, (1 1 -1)
- 2θ = 24.3°, I = 38, (0 2 1)
- 2θ = 26.2°, I = 41, (0 0 2)
- 2θ = 26.8°, I = 51, (3 1 -1)
- 2θ = 28.6°, I = 48, (3 1 1)
- 2θ = 31.2°, I = 28, (2 0 2)
- 2θ = 34.6°, I = 54, (1 3 1)
- 2θ = 41.2°, I = 29, (3 3 1)

Atomic structure:
```
data_K2HfSeS2
_cell_length_a 12.141
_cell_length_b 8.695
_cell_length_c 6.834
_cell_angle_alpha 90.00
_cell_angle_beta 94.79
_cell_angle_gamma 90.00
_space_group_name_H-M_alt 'C 1 2/c 1'
_space_group_IT_number 15
_space_group_name_Hall '-C 2yc'
loop_
_atom_site_label
_atom_site_type_symbol
_atom_site_fract_x
_atom_site_fract_y
_atom_site_fract_z
_atom_site_occupancy
K1 K 0.164 0.166 0.213 1
Hf1 Hf 0.000 0.420 0.750 1
Se1 Se 0.000 0.136 0.750 1
S1 S 0.141 0.483 0.506 1
```

=====

The following is a calculated powder diffraction line list of ZrPa. It was derived from a cell relaxed with PBE, using CuKα.
Peak positions follow from Bragg's law for the DFT cell and can differ from measured ones.

Largest 10 diffraction maxima, low angle first, 2θ = 10–90°:
- 2θ = 16.0°, I = 25, (0 0 1)
- 2θ = 32.4°, I = 29, (0 0 2)
- 2θ = 32.5°, I = 32, (1 0 0)
- 2θ = 36.5°, I = 100, (1 0 1)
- 2θ = 46.6°, I = 25, (1 0 2)
- 2θ = 58.0°, I = 17, (1 1 0)
- 2θ = 60.4°, I = 23, (1 0 3)
- 2θ = 68.0°, I = 25, (1 1 2)
- 2θ = 70.5°, I = 15, (2 0 1)
- 2θ = 88.7°, I = 9, (2 0 3)

Atomic structure:
```
data_ZrPa
_cell_length_a 3.1796
_cell_length_b 3.1796
_cell_length_c 5.5287
_cell_angle_alpha 90.00
_cell_angle_beta 90.00
_cell_angle_gamma 120.00
_space_group_name_H-M_alt 'P -6 m 2'
_space_group_IT_number 187
_space_group_name_Hall 'P -6 2'
loop_
_atom_site_label
_atom_site_type_symbol
_atom_site_fract_x
_atom_site_fract_y
_atom_site_fract_z
_atom_site_occupancy
Zr1 Zr 0.0000 0.0000 0.0000 1
Pa1 Pa 0.3333 0.6667 0.5000 1
```

=====

The following is a calculated powder diffraction line list of Ag2HgGeTe2Se2. It was derived from a cell relaxed with PBE, using CuKα.
Peak positions follow from Bragg's law for the DFT cell and can differ from measured ones.

Largest 10 diffraction maxima, low angle first, 2θ = 10–90°:
- 2θ = 24.6°, I = 95, (1 1 1)
- 2θ = 24.8°, I = 100, (3 1 -1)
- 2θ = 40.6°, I = 26, (2 0 2)
- 2θ = 40.9°, I = 97, (4 2 0)
- 2θ = 41.3°, I = 23, (6 0 -2)
- 2θ = 48.2°, I = 32, (1 3 1)
- 2θ = 48.3°, I = 29, (5 1 1)
- 2θ = 48.6°, I = 14, (5 1 -3)
- 2θ = 48.7°, I = 15, (7 1 -1)
- 2θ = 74.1°, I = 16, (6 2 2)

Atomic structure:
```
data_Ag2HgGeTe2Se2
_cell_length_a 13.828
_cell_length_b 6.257
_cell_length_c 6.247
_cell_angle_alpha 90.00
_cell_angle_beta 115.90
_cell_angle_gamma 90.00
_space_group_name_H-M_alt 'C 1 2 1'
_space_group_IT_number 5
_space_group_name_Hall 'C 2y'
loop_
_atom_site_label
_atom_site_type_symbol
_atom_site_fract_x
_atom_site_fract_y
_atom_site_fract_z
_atom_site_occupancy
Ag1 Ag 0.249 0.000 0.275 1
Hg1 Hg 0.000 0.499 0.000 1
Ge1 Ge 0.000 0.974 0.500 1
Te1 Te 0.129 0.222 0.856 1
Se1 Se 0.119 0.762 0.388 1
```